For K2In12Sn7, the GGA-PBE geometry in Alexandria gives the theoretical powder diffractogram in this record (Cu Kα, 1.54184 Å).

Structural model:
Unit cell a=12.6956 b=12.6956 c=4.6333 alpha=90.00 beta=90.00 gamma=120.00
Fractional coordinates of all 21 atoms:
K1 0.3333 0.6667 0.2430
K2 0.6667 0.3333 0.7570
In1 0.0659 0.4393 0.7585
In2 0.1139 0.2516 0.2257
In3 0.1377 0.8861 0.2257
In4 0.2516 0.1377 0.7743
In5 0.3733 0.9341 0.7585
In6 0.4393 0.3733 0.2415
In7 0.5607 0.6267 0.7585
In8 0.6267 0.0659 0.2415
In9 0.7484 0.8623 0.2257
In10 0.8623 0.1139 0.7743
In11 0.8861 0.7484 0.7743
In12 0.9341 0.5607 0.2415
Sn1 0.0000 0.0000 0.5000
Sn2 0.1107 0.7040 0.7332
Sn3 0.2960 0.4066 0.7332
Sn4 0.4066 0.1107 0.2668
Sn5 0.5934 0.8893 0.7332
Sn6 0.7040 0.5934 0.2668
Sn7 0.8893 0.2960 0.2668

Largest 10 diffraction maxima, by intensity, 2θ = 10–90°:
| h k l | two_theta | I_rel |
| --- | --- | --- |
| 2 1 1 | 28.9 | 100 |
| 4 -1 1 | 35.2 | 45 |
| 1 4 0 | 37.5 | 36 |
| 0 4 1 | 38.1 | 28 |
| 5 3 1 | 62.4 | 25 |
| 3 2 0 | 35.6 | 24 |
| 1 1 0 | 14.0 | 22 |
| 0 0 2 | 38.9 | 22 |
| 3 0 1 | 31.1 | 20 |
| 1 4 2 | 55.1 | 17 |